Diffraction record for CsReWO6. The PXRD pattern is calculated, not measured: it uses a crystal structure in Alexandria, relaxed with GGA+U and Cu Kα.
No peak broadening, texture or thermal motion is included.

Most intense lines, 15 to 90 degrees two-theta, in order of rising 2θ:
two_theta, I_rel, index
23.26, 100, 1 0 1
26.66, 22, 0 0 2
33.30, 39, 1 1 0
35.98, 15, 2 -1 1
41.01, 17, 2 0 1
43.16, 50, 2 -1 2
45.09, 14, 1 0 3
53.82, 20, 3 -1 1
65.77, 14, 1 1 4
66.35, 12, 3 0 2

Unit cell a=5.3818 b=5.3818 c=6.6866 alpha=90.00 beta=90.00 gamma=120.00
Element x y z (fractional)
Cs (0.0000, 0.0000, 0.0000)
Re (0.6667, 0.3333, 0.5000)
W (0.3333, 0.6667, 0.5000)
O (0.0014, 0.4033, 0.6644)
O (0.0014, 0.5981, 0.3356)
O (0.4019, 0.4033, 0.3356)
O (0.4019, 0.9986, 0.6644)
O (0.5967, 0.5981, 0.6644)
O (0.5967, 0.9986, 0.3356)